Entry 1:
Starting from a crystal structure in Alexandria, relaxed with PBE, the X-ray diffraction stick pattern of Zr3HPb was computed for Cu Ka.
Lines closer than 0.1° are merged.

Cell and atoms:
a b c (Å): 6.2838 6.2838 5.2013
angles (deg): 90.00 90.00 113.61
Element x y z (fractional)
Zr1 0.1360 0.8640 0.7500
Zr2 0.1697 0.3727 0.7527
Zr3 0.3727 0.1697 0.2473
Zr4 0.6273 0.8303 0.7473
Zr5 0.8303 0.6273 0.2527
Zr6 0.8640 0.1360 0.2500
H1 0.1077 0.1077 0.5000
H2 0.8923 0.8923 0.0000
Pb1 0.3329 0.6671 0.2500
Pb2 0.6671 0.3329 0.7500

The 10 most intense peaks (10 to 90 degrees two-theta), sorted by position:
Position (°2θ)	d [Å]	I/Imax
23.04	3.860	12.4
31.07	2.879	10.5
34.10	2.629	17.1
34.49	2.601	32.8
35.64	2.519	100.0
38.36	2.346	19.9
49.28	1.849	12.1
59.17	1.561	10.3
62.54	1.485	20.2
70.31	1.339	10.3

Entry 2:
Starting from a crystal structure in Alexandria, relaxed with PBE, the X-ray diffraction stick pattern of Zr3HPb was computed for Cu Ka.
Lines closer than 0.1° are merged.

Cell and atoms:
a b c (Å): 6.3206 6.3206 5.5483
angles (deg): 100.98 100.98 61.55
Element x y z (fractional)
Zr1 0.0000 0.0000 0.0000
Zr2 0.0103 0.5027 0.9283
Zr3 0.2581 0.7611 0.5277
Zr4 0.5027 0.0103 0.9283
Zr5 0.7611 0.2581 0.5277
Zr6 0.7640 0.7640 0.4489
H1 0.6460 0.6460 0.6869
H2 0.9272 0.9272 0.3179
Pb1 0.2492 0.2492 0.4282
Pb2 0.5120 0.5120 0.0348

The 10 most intense peaks (10 to 90 degrees two-theta), sorted by position:
Position (°2θ)	d [Å]	I/Imax
33.12	2.705	41.8
33.70	2.660	16.5
33.86	2.648	56.8
34.74	2.582	100.0
38.28	2.351	74.0
42.13	2.145	23.4
58.67	1.574	35.7
65.86	1.418	14.4
67.52	1.387	16.6
67.90	1.380	19.1

Entry 3:
Starting from a crystal structure in Alexandria, relaxed with PBE, the X-ray diffraction stick pattern of Zr5HPb2 was computed for Cu Ka.
Lines closer than 0.1° are merged.

Cell and atoms:
a b c (Å): 6.2368 6.2270 6.4103
angles (deg): 59.12 58.97 61.90
Element x y z (fractional)
Zr1 0.0000 0.0000 0.0000
Zr2 0.0015 0.4982 0.5018
Zr3 0.0015 0.4980 0.9985
Zr4 0.4980 0.0015 0.5020
Zr5 0.4982 0.0015 0.9985
H1 0.7471 0.7471 0.2529
Pb1 0.0009 0.0009 0.4991
Pb2 0.5009 0.5009 0.9991

The 10 most intense peaks (10 to 90 degrees two-theta), sorted by position:
Position (°2θ)	d [Å]	I/Imax
19.58	4.533	26.0
28.70	3.111	21.8
34.98	2.565	100.0
39.71	2.270	17.7
39.83	2.263	17.6
42.26	2.138	14.9
57.51	1.603	11.9
59.43	1.555	21.6
69.04	1.360	15.7
69.20	1.358	13.6

Entry 4:
Starting from a crystal structure in Alexandria, relaxed with PBE, the X-ray diffraction stick pattern of Zr4HPb3 was computed for Cu Ka.
Lines closer than 0.1° are merged.

Cell and atoms:
a b c (Å): 4.4230 8.6360 10.2621
angles (deg): 90.00 90.00 90.00
Element x y z (fractional)
Zr1 0.2500 0.0039 0.1115
Zr2 0.2500 0.2500 0.8908
Zr3 0.2500 0.4961 0.1115
Zr4 0.2500 0.7500 0.8833
Zr5 0.7500 0.2500 0.1167
Zr6 0.7500 0.5039 0.8885
Zr7 0.7500 0.7500 0.1092
Zr8 0.7500 0.9961 0.8885
H1 0.2500 0.7500 0.0949
H2 0.7500 0.2500 0.9051
Pb1 0.2500 0.0353 0.6362
Pb2 0.2500 0.2500 0.3520
Pb3 0.2500 0.4647 0.6362
Pb4 0.7500 0.5353 0.3638
Pb5 0.7500 0.7500 0.6480
Pb6 0.7500 0.9647 0.3638

The 10 most intense peaks (10 to 90 degrees two-theta), sorted by position:
Position (°2θ)	d [Å]	I/Imax
22.59	3.937	13.9
33.87	2.647	100.0
34.97	2.566	22.5
35.77	2.511	10.6
40.80	2.212	17.0
41.84	2.159	11.7
54.80	1.675	12.4
62.02	1.496	12.9
69.86	1.346	12.3
71.25	1.324	9.1